Diffraction record for RbPuCoO6. The powder diffractogram is theoretical, not measured: it uses the PBE+U geometry in Alexandria and copper Kα.
Neutral-atom scattering factors, no anomalous dispersion.

Structural model:
```
data_RbPuCoO6
_space_group_name_H-M_alt 'C 1 2 1'
_space_group_IT_number 5
_cell_length_a 5.2019
_cell_length_b 8.8842
_cell_length_c 6.4956
_cell_angle_alpha 90.00
_cell_angle_beta 90.41
_cell_angle_gamma 90.00
loop_
_space_group_symop_operation_xyz
'x,y,z'
'-x,y,-z'
'x+1/2,y+1/2,z'
'-x+1/2,y+1/2,-z'
loop_
_atom_site_label
_atom_site_type_symbol
_atom_site_fract_x
_atom_site_fract_y
_atom_site_fract_z
Rb1 Rb 0.0000 0.0000 0.0000
Pu1 Pu 0.0000 0.3344 0.5000
Co1 Co 0.0000 0.6723 0.5000
O1 O 0.1251 0.5073 0.6670
O2 O 0.1682 0.8083 0.6680
O3 O 0.1943 0.1822 0.6640
```

Peak list (6 most intense, 5 to 70 degrees two-theta, in order of rising 2θ)
| h k l | d/Å | 2theta | intensity |
| --- | --- | --- | --- |
| 0 0 1 | 6.495 | 13.6 | 100 |
| 1 1 -1 | 3.704 | 24.0 | 61 |
| 1 1 1 | 3.682 | 24.2 | 60 |
| 0 2 1 | 3.667 | 24.3 | 62 |
| 1 3 0 | 2.574 | 34.9 | 34 |
| 1 3 2 | 2.014 | 45.0 | 32 |